# 1
Starting from the PBE+U geometry in the Materials Project, the powder X-ray diffraction pattern of Sr2NiWO6 was calculated for Cu Kα, 1.54184 Å.
Kinematic intensities with the Lorentz-polarization factor, no thermal factor.

Top 6 peaks for 2θ from 10° to 90°, low angle first:
2θ/deg  d/Å  I (rel.)
19.20  4.622  32
31.52  2.838  100
31.79  2.815  52
45.57  1.991  30
55.97  1.643  21
56.47  1.630  42

```
Sr2NiWO6
1.0
-2.815 2.815 4.047
2.815 -2.815 4.047
2.815 2.815 -4.047
Sr Ni W O
2 1 1 6
direct
0.250 0.750 0.500
0.750 0.250 0.500
0.000 0.000 0.000
0.500 0.500 0.000
0.217 0.300 0.517
0.259 0.259 0.000
0.300 0.783 0.083
0.700 0.217 0.917
0.741 0.741 0.000
0.783 0.700 0.483
```

# 2
Starting from the PBE+U geometry in the Materials Project, the powder X-ray diffraction pattern of Li4MnO2F2 was calculated for Cu Kα, 1.54184 Å.
Kinematic intensities with the Lorentz-polarization factor, no thermal factor.

Top 6 peaks for 2θ from 10° to 90°, low angle first:
2θ/deg  d/Å  I (rel.)
16.44  5.392  54
21.16  4.198  56
21.48  4.136  51
28.44  3.139  81
31.47  2.843  100
35.92  2.500  46

```
Li4MnO2F2
1.0
4.136 -3.554 0.000
4.136 3.554 0.000
0.000 0.000 6.690
Li Mn O F
8 2 4 4
direct
0.080 0.605 0.750
0.332 0.332 0.000
0.332 0.332 0.500
0.395 0.920 0.750
0.605 0.080 0.250
0.668 0.668 0.000
0.668 0.668 0.500
0.920 0.395 0.250
0.124 0.876 0.250
0.876 0.124 0.750
0.198 0.248 0.750
0.248 0.198 0.250
0.752 0.802 0.750
0.802 0.752 0.250
0.299 0.701 0.528
0.299 0.701 0.972
0.701 0.299 0.028
0.701 0.299 0.472
```

# 3
Starting from the PBE+U geometry in the Materials Project, the powder X-ray diffraction pattern of MgScNi2SbO6 was calculated for Cu Kα, 1.54184 Å.
Kinematic intensities with the Lorentz-polarization factor, no thermal factor.

Top 6 peaks for 2θ from 10° to 90°, low angle first:
2θ/deg  d/Å  I (rel.)
30.16  2.963  57
33.46  2.678  100
34.96  2.567  38
45.65  1.987  34
49.16  1.853  82
59.82  1.546  34

```
MgScNi2SbO6
1.0
5.355 0.000 0.000
-2.675 4.639 0.000
-0.001 -3.086 5.135
Mg Sc Ni Sb O
1 1 2 1 6
direct
0.000 0.000 0.000
0.825 0.650 0.475
0.171 0.341 0.512
0.636 0.271 0.908
0.357 0.715 0.073
0.019 0.430 0.234
0.226 0.165 0.751
0.411 0.216 0.235
0.586 0.812 0.752
0.804 0.825 0.236
0.939 0.526 0.752
```